Diffraction record for BaTl2CoO. The powder X-ray diffraction pattern is simulated, not measured: it uses a DFT-relaxed cell (PBE+U, Alexandria) and a wavelength of 1.5418 Å.

Most intense lines, 15 to 90 degrees two-theta, by angle:
2theta  Rel. int.  (hkl)
18.4  20  1 1 0
19.3  55  0 0 1
23.3  22  1 0 1
26.1  100  2 0 0
26.7  60  1 1 1
32.6  61  2 0 1
37.2  39  2 2 0
42.2  31  2 2 1
46.4  27  3 1 1
47.6  39  2 0 2
55.1  25  2 2 2
74.5  21  4 2 2

Structure:
Cell: 6.8375 6.8375 4.6069 Å, 90.00 90.00 90.00°
Space group P4/mmm (No. 123)
Unique sites:
Ba  0.0000  0.0000  0.0000 [1 per cell]
Tl  0.0000  0.5000  0.0000 [2 per cell]
Co  0.5000  0.5000  0.5000 [1 per cell]
O  0.0000  0.0000  0.5000 [1 per cell]